Structure and simulated X-ray powder pattern of Li4Mn3FeB4O12 (a GGA+U-relaxed structure; Cu Kα X-rays).
Kinematic intensities with the Lorentz-polarization factor, no thermal factor.

Structure:
Cell lengths 5.2359, 5.2492, 10.4964 Å; angles 91.01, 90.78, 119.78 degrees
Space group P1 (No. 1)
Unique sites:
Li: 0.0000 0.0000 0.0000 [1 per cell]
Li: 0.0108 0.9912 0.5002 [1 per cell]
Li: 0.6702 0.6867 0.7489 [1 per cell]
Li: 0.6967 0.6592 0.2490 [1 per cell]
Mn: 0.3424 0.6641 0.0350 [1 per cell]
Mn: 0.3467 0.0145 0.7843 [1 per cell]
Mn: 0.6794 0.3338 0.5321 [1 per cell]
Fe: 0.0316 0.3336 0.2847 [1 per cell]
B: 0.0074 0.3405 0.7912 [1 per cell]
B: 0.3457 0.6728 0.5402 [1 per cell]
B: 0.3519 0.9991 0.2909 [1 per cell]
B: 0.6826 0.3320 0.0429 [1 per cell]
O: 0.0774 0.9782 0.3047 [1 per cell]
O: 0.1032 0.4090 0.4976 [1 per cell]
O: 0.2783 0.5909 0.8215 [1 per cell]
O: 0.3118 0.9155 0.5707 [1 per cell]
O: 0.3700 0.7528 0.2530 [1 per cell]
O: 0.4196 0.0895 0.0001 [1 per cell]
O: 0.6062 0.2661 0.3184 [1 per cell]
O: 0.6188 0.6961 0.5553 [1 per cell]
O: 0.7068 0.6056 0.0568 [1 per cell]
O: 0.7698 0.3709 0.7495 [1 per cell]
O: 0.9264 0.2996 0.0740 [1 per cell]
O: 0.9780 0.0661 0.8060 [1 per cell]

Principal peaks in the range 2θ = 15–90°, in order of rising 2θ:
2θ/deg	intensity	h k l
19.6	42	1 -1 0
21.3	24	-1 1 1
21.5	39	1 0 1
34.2	100	0 0 4
34.3	20	2 -1 0
48.3	26	0 1 5


Structure and simulated X-ray powder pattern of Li8MnFe7B8O24 (a GGA+U-relaxed structure; Cu Kα X-rays).
Kinematic intensities with the Lorentz-polarization factor, no thermal factor.

Structure:
Cell lengths 5.9736, 9.0844, 9.7130 Å; angles 81.39, 79.05, 75.85 degrees
Space group P1 (No. 1)
Unique sites:
Li: 0.0000 0.0000 0.0000 [1 per cell]
Li: 0.0986 0.6253 0.2568 [1 per cell]
Li: 0.2500 0.4974 0.7526 [1 per cell]
Li: 0.3515 0.1237 0.0078 [1 per cell]
Li: 0.4985 0.9989 0.4998 [1 per cell]
Li: 0.6040 0.6211 0.7584 [1 per cell]
Li: 0.7502 0.4981 0.2506 [1 per cell]
Li: 0.8502 0.1228 0.5077 [1 per cell]
Mn: 0.4322 0.6866 0.4860 [1 per cell]
Fe: 0.1708 0.9366 0.2670 [1 per cell]
Fe: 0.1817 0.1834 0.7405 [1 per cell]
Fe: 0.4171 0.4378 0.0275 [1 per cell]
Fe: 0.6681 0.9396 0.7685 [1 per cell]
Fe: 0.6816 0.1815 0.2384 [1 per cell]
Fe: 0.9232 0.4276 0.5217 [1 per cell]
Fe: 0.9305 0.6898 0.9811 [1 per cell]
B: 0.1529 0.2720 0.2674 [1 per cell]
B: 0.1980 0.8500 0.7428 [1 per cell]
B: 0.4062 0.7716 0.0170 [1 per cell]
B: 0.4495 0.3486 0.4917 [1 per cell]
B: 0.6519 0.2718 0.7686 [1 per cell]
B: 0.6988 0.8506 0.2392 [1 per cell]
B: 0.9019 0.7706 0.5169 [1 per cell]
B: 0.9458 0.3510 0.9923 [1 per cell]
O: 0.0051 0.8756 0.8517 [1 per cell]
O: 0.0312 0.2090 0.9431 [1 per cell]
O: 0.0420 0.1528 0.3246 [1 per cell]
O: 0.0567 0.4701 0.9379 [1 per cell]
O: 0.0725 0.4154 0.3138 [1 per cell]
O: 0.0924 0.7509 0.4071 [1 per cell]
O: 0.2584 0.3720 0.6013 [1 per cell]
O: 0.2814 0.7074 0.6978 [1 per cell]
O: 0.2955 0.6529 0.0738 [1 per cell]
O: 0.3070 0.9700 0.6850 [1 per cell]
O: 0.3202 0.9139 0.0649 [1 per cell]
O: 0.3442 0.2473 0.1578 [1 per cell]
O: 0.5066 0.8777 0.3473 [1 per cell]
O: 0.5313 0.2061 0.4437 [1 per cell]
O: 0.5430 0.1509 0.8242 [1 per cell]
O: 0.5636 0.4655 0.4354 [1 per cell]
O: 0.5677 0.4125 0.8169 [1 per cell]
O: 0.5957 0.7497 0.9068 [1 per cell]
O: 0.7549 0.3720 0.1017 [1 per cell]
O: 0.7813 0.7082 0.1925 [1 per cell]
O: 0.7927 0.6508 0.5709 [1 per cell]
O: 0.8110 0.9698 0.1823 [1 per cell]
O: 0.8178 0.9126 0.5664 [1 per cell]
O: 0.8447 0.2476 0.6595 [1 per cell]

Principal peaks in the range 2θ = 15–90°, in order of rising 2θ:
2θ/deg	intensity	h k l
20.3	85	0 1 2
22.3	36	0 1 -2
22.7	62	1 2 1
33.9	100	2 0 2
34.3	59	1 3 -1
41.2	38	0 4 0


Structure and simulated X-ray powder pattern of Li4MnFe3B4O12 (a GGA+U-relaxed structure; Cu Kα X-rays).
Kinematic intensities with the Lorentz-polarization factor, no thermal factor.

Structure:
Cell lengths 5.2421, 6.0260, 16.1357 Å; angles 81.59, 89.52, 88.73 degrees
Space group P-1 (No. 2)
Unique sites:
Li: 0.1521 0.1830 0.3602 [2 per cell]
Li: 0.1574 0.6841 0.8617 [2 per cell]
Li: 0.3445 0.0612 0.8917 [2 per cell]
Li: 0.3484 0.5652 0.3872 [2 per cell]
Mn: 0.3295 0.9797 0.7084 [2 per cell]
Fe: 0.1626 0.7736 0.0426 [2 per cell]
Fe: 0.1704 0.2809 0.5368 [2 per cell]
Fe: 0.3370 0.4771 0.2076 [2 per cell]
B: 0.1699 0.4639 0.7036 [2 per cell]
B: 0.1707 0.9645 0.2022 [2 per cell]
B: 0.3271 0.2898 0.0459 [2 per cell]
B: 0.3277 0.7869 0.5446 [2 per cell]
O: 0.0887 0.0111 0.8108 [2 per cell]
O: 0.0895 0.5090 0.3068 [2 per cell]
O: 0.1815 0.9201 0.5920 [2 per cell]
O: 0.1823 0.4178 0.0960 [2 per cell]
O: 0.2029 0.1806 0.9880 [2 per cell]
O: 0.2082 0.6718 0.4872 [2 per cell]
O: 0.2885 0.0736 0.2614 [2 per cell]
O: 0.2959 0.5720 0.7618 [2 per cell]
O: 0.3136 0.3353 0.6537 [2 per cell]
O: 0.3201 0.8345 0.1537 [2 per cell]
O: 0.4125 0.2367 0.4423 [2 per cell]
O: 0.4129 0.7370 0.9441 [2 per cell]

Principal peaks in the range 2θ = 15–90°, in order of rising 2θ:
2θ/deg	intensity	h k l
20.3	87	1 0 -2
22.3	33	0 0 4
22.5	60	1 1 1
33.6	100	0 2 -2
34.2	58	1 1 5
41.1	31	2 0 4


Structure and simulated X-ray powder pattern of Li2MnFeB2O6 (a GGA+U-relaxed structure; Cu Kα X-rays).
Kinematic intensities with the Lorentz-polarization factor, no thermal factor.

Structure:
Cell lengths 5.2156, 5.2379, 10.4858 Å; angles 90.87, 91.00, 119.75 degrees
Space group P1 (No. 1)
Unique sites:
Li: 0.0000 0.0000 0.0000 [1 per cell]
Li: 0.0166 0.9966 0.4996 [1 per cell]
Li: 0.3164 0.3300 0.2522 [1 per cell]
Li: 0.3414 0.3069 0.7493 [1 per cell]
Mn: 0.3323 0.6587 0.9681 [1 per cell]
Mn: 0.6657 0.9817 0.7149 [1 per cell]
Fe: 0.6823 0.3293 0.4622 [1 per cell]
Fe: 0.9796 0.6566 0.2154 [1 per cell]
B: 0.0041 0.6527 0.7069 [1 per cell]
B: 0.3327 0.6606 0.4567 [1 per cell]
B: 0.6599 0.9914 0.2109 [1 per cell]
B: 0.6657 0.3200 0.9604 [1 per cell]
O: 0.0338 0.9282 0.6923 [1 per cell]
O: 0.0811 0.6853 0.4277 [1 per cell]
O: 0.2426 0.6230 0.7498 [1 per cell]
O: 0.3175 0.3912 0.4435 [1 per cell]
O: 0.3910 0.2956 0.9442 [1 per cell]
O: 0.4047 0.7226 0.1822 [1 per cell]
O: 0.5932 0.9115 0.4972 [1 per cell]
O: 0.6402 0.2366 0.2484 [1 per cell]
O: 0.7004 0.0776 0.9296 [1 per cell]
O: 0.7325 0.4027 0.6763 [1 per cell]
O: 0.9079 0.5837 0.0038 [1 per cell]
O: 0.9348 0.0135 0.1973 [1 per cell]

Principal peaks in the range 2θ = 15–90°, in order of rising 2θ:
2θ/deg	intensity	h k l
19.6	29	1 -1 0
21.4	24	-1 1 1
21.6	42	1 0 1
34.2	100	0 0 4
34.4	22	2 -1 0
48.3	22	0 1 5


Structure and simulated X-ray powder pattern of Li4MnFe3B4O12 (a GGA+U-relaxed structure; Cu Kα X-rays).
Kinematic intensities with the Lorentz-polarization factor, no thermal factor.

Structure:
Cell lengths 5.2214, 5.2258, 20.8730 Å; angles 91.08, 90.74, 119.85 degrees
Space group P1 (No. 1)
Unique sites:
Li: 0.0000 0.0000 0.0000 [1 per cell]
Li: 0.0001 0.0015 0.4995 [1 per cell]
Li: 0.0257 0.9752 0.2497 [1 per cell]
Li: 0.0281 0.9747 0.7500 [1 per cell]
Li: 0.3303 0.3150 0.6251 [1 per cell]
Li: 0.3314 0.3175 0.1251 [1 per cell]
Li: 0.3404 0.3045 0.3749 [1 per cell]
Li: 0.3440 0.3066 0.8753 [1 per cell]
Mn: 0.6741 0.9801 0.6427 [1 per cell]
Mn: 0.6780 0.3325 0.5168 [1 per cell]
Fe: 0.0057 0.6547 0.8920 [1 per cell]
Fe: 0.0110 0.6568 0.3914 [1 per cell]
Fe: 0.3583 0.6476 0.2674 [1 per cell]
Fe: 0.3612 0.6522 0.7680 [1 per cell]
Fe: 0.6748 0.3344 0.0177 [1 per cell]
Fe: 0.6803 0.9840 0.1419 [1 per cell]
B: 0.0118 0.6469 0.1457 [1 per cell]
B: 0.0138 0.6477 0.6464 [1 per cell]
B: 0.3378 0.6572 0.5202 [1 per cell]
B: 0.3404 0.6579 0.0205 [1 per cell]
B: 0.6722 0.9862 0.3951 [1 per cell]
B: 0.6720 0.9855 0.8958 [1 per cell]
B: 0.6823 0.3153 0.7713 [1 per cell]
B: 0.6842 0.3156 0.2706 [1 per cell]
O: 0.0285 0.9199 0.1521 [1 per cell]
O: 0.0415 0.9241 0.6535 [1 per cell]
O: 0.0952 0.6772 0.0005 [1 per cell]
O: 0.1022 0.6905 0.4993 [1 per cell]
O: 0.2555 0.6118 0.6622 [1 per cell]
O: 0.2604 0.6233 0.1611 [1 per cell]
O: 0.3049 0.3798 0.5277 [1 per cell]
O: 0.3170 0.3820 0.0274 [1 per cell]
O: 0.4065 0.2914 0.7779 [1 per cell]
O: 0.4079 0.2924 0.2771 [1 per cell]
O: 0.4241 0.7207 0.3750 [1 per cell]
O: 0.4248 0.7216 0.8754 [1 per cell]
O: 0.6099 0.9118 0.0355 [1 per cell]
O: 0.6116 0.9066 0.5357 [1 per cell]
O: 0.6472 0.2349 0.4099 [1 per cell]
O: 0.6492 0.2351 0.9109 [1 per cell]
O: 0.7032 0.0694 0.7515 [1 per cell]
O: 0.7037 0.0697 0.2510 [1 per cell]
O: 0.7475 0.3985 0.1253 [1 per cell]
O: 0.7478 0.4062 0.6248 [1 per cell]
O: 0.9367 0.5837 0.7859 [1 per cell]
O: 0.9376 0.5860 0.2851 [1 per cell]
O: 0.9442 0.0031 0.4020 [1 per cell]
O: 0.9464 0.0041 0.9023 [1 per cell]

Principal peaks in the range 2θ = 15–90°, in order of rising 2θ:
2θ/deg	intensity	h k l
19.6	64	1 -1 0
21.6	63	1 0 2
25.7	47	1 0 -4
34.3	86	2 -1 0
34.4	100	0 0 8
40.5	47	0 2 -2


Structure and simulated X-ray powder pattern of Li4MnFe3B4O12 (a GGA+U-relaxed structure; Cu Kα X-rays).
Kinematic intensities with the Lorentz-polarization factor, no thermal factor.

Structure:
Cell lengths 5.2268, 5.2274, 20.7958 Å; angles 89.13, 88.22, 60.24 degrees
Space group P1 (No. 1)
Unique sites:
Li: 0.0000 0.0000 0.0000 [1 per cell]
Li: 0.0000 0.0039 0.5028 [1 per cell]
Li: 0.6683 0.0368 0.8762 [1 per cell]
Li: 0.6717 0.0107 0.1259 [1 per cell]
Li: 0.6743 0.0363 0.3783 [1 per cell]
Li: 0.6814 0.0058 0.6277 [1 per cell]
Li: 0.9836 0.0399 0.7519 [1 per cell]
Li: 0.9849 0.0455 0.2524 [1 per cell]
Mn: 0.3300 0.6846 0.1420 [1 per cell]
Mn: 0.6583 0.6966 0.2684 [1 per cell]
Fe: 0.3203 0.3415 0.0165 [1 per cell]
Fe: 0.3256 0.3421 0.5197 [1 per cell]
Fe: 0.3301 0.6864 0.6427 [1 per cell]
Fe: 0.6477 0.6938 0.7675 [1 per cell]
Fe: 0.9950 0.3582 0.8915 [1 per cell]
Fe: 0.9987 0.3626 0.3953 [1 per cell]
B: 0.0019 0.3547 0.6476 [1 per cell]
B: 0.3272 0.3553 0.7719 [1 per cell]
B: 0.3291 0.3621 0.2737 [1 per cell]
B: 0.3376 0.6869 0.8966 [1 per cell]
B: 0.3402 0.6854 0.3996 [1 per cell]
B: 0.6602 0.6836 0.0201 [1 per cell]
B: 0.6595 0.6860 0.5232 [1 per cell]
B: 0.9931 0.3557 0.1460 [1 per cell]
O: 0.0670 0.9422 0.9034 [1 per cell]
O: 0.0703 0.3439 0.7867 [1 per cell]
O: 0.0716 0.9411 0.4069 [1 per cell]
O: 0.0779 0.3402 0.2892 [1 per cell]
O: 0.2581 0.3332 0.1243 [1 per cell]
O: 0.2673 0.3384 0.6276 [1 per cell]
O: 0.2981 0.6302 0.2522 [1 per cell]
O: 0.3064 0.6224 0.7529 [1 per cell]
O: 0.3604 0.4141 0.9105 [1 per cell]
O: 0.3637 0.4120 0.4139 [1 per cell]
O: 0.3902 0.6997 0.5380 [1 per cell]
O: 0.3924 0.6948 0.0353 [1 per cell]
O: 0.5866 0.7041 0.8766 [1 per cell]
O: 0.5904 0.6996 0.3787 [1 per cell]
O: 0.6009 0.1036 0.7771 [1 per cell]
O: 0.6050 0.1170 0.2806 [1 per cell]
O: 0.6821 0.9388 0.5286 [1 per cell]
O: 0.6825 0.9362 0.0261 [1 per cell]
O: 0.7515 0.6330 0.1615 [1 per cell]
O: 0.7531 0.6265 0.6615 [1 per cell]
O: 0.9050 0.4179 0.0010 [1 per cell]
O: 0.9053 0.4204 0.5046 [1 per cell]
O: 0.9669 0.1067 0.1541 [1 per cell]
O: 0.9867 0.0982 0.6547 [1 per cell]

Principal peaks in the range 2θ = 15–90°, in order of rising 2θ:
2θ/deg	intensity	h k l
19.6	70	0 1 0
21.6	66	1 0 -2
25.7	44	1 0 4
34.3	58	1 2 0
34.5	100	0 0 8
40.7	46	2 2 2